No. 1
This entry pairs a crystal structure of Hg3As8S8Br6 with its calculated powder diffraction line list. Radiation: copper Kα. Structure: the PBE geometry in OQMD.
Peak positions follow from Bragg's law for the DFT cell and can differ from measured ones.

Largest 10 diffraction maxima, low angle first, 5 to 70 degrees two-theta:
11.0°, d = 8.015 Å, intensity 81
13.3°, d = 6.650 Å, intensity 92
18.5°, d = 4.792 Å, intensity 52
20.0°, d = 4.440 Å, intensity 44
20.9°, d = 4.248 Å, intensity 100
21.7°, d = 4.105 Å, intensity 67
23.2°, d = 3.831 Å, intensity 75
26.6°, d = 3.354 Å, intensity 60
26.7°, d = 3.334 Å, intensity 50
30.8°, d = 2.905 Å, intensity 57

Crystal structure
a b c (Å): 8.9577 15.4171 14.8158
angles (deg): 90.00 116.52 90.00
Space group P2_1/c (No. 14)
Symmetry-distinct sites (fractional):
Hg 0.0000 0.0000 0.0000 x2
Hg 0.2276 0.1910 0.7119 x4
As 0.0515 0.0914 0.7646 x4
As 0.1057 0.0958 0.4080 x4
As 0.1586 0.5531 0.2390 x4
As 0.3450 0.6318 0.8031 x4
S 0.0511 0.1283 0.2480 x4
S 0.1891 0.5964 0.8842 x4
S 0.4222 0.2099 0.1901 x4
S 0.4796 0.2295 0.5859 x4
Br 0.0140 0.7219 0.0453 x4
Br 0.2766 0.5452 0.5243 x4
Br 0.4652 0.0071 0.6559 x4

---

No. 2
This entry pairs a crystal structure of Zr2AsIBr with its calculated powder diffraction line list. Radiation: copper Kα. Structure: the PBE geometry in OQMD.
Peak positions follow from Bragg's law for the DFT cell and can differ from measured ones.

Largest 10 diffraction maxima, low angle first, 5 to 70 degrees two-theta:
8.7°, d = 10.212 Å, intensity 50
25.8°, d = 3.448 Å, intensity 12
27.3°, d = 3.267 Å, intensity 8
31.3°, d = 2.858 Å, intensity 100
37.1°, d = 2.422 Å, intensity 18
44.1°, d = 2.052 Å, intensity 24
45.6°, d = 1.991 Å, intensity 35
52.0°, d = 1.757 Å, intensity 11
56.3°, d = 1.633 Å, intensity 18
65.3°, d = 1.429 Å, intensity 7

Crystal structure
a b c (Å): 3.9817 3.9817 10.2117
angles (deg): 90.00 90.00 120.00
Space group P3m1 (No. 156)
Symmetry-distinct sites (fractional):
Zr 0.0000 0.0000 0.0000 x1
Zr 0.3333 0.6667 0.2567 x1
As 0.6667 0.3333 0.1287 x1
I 0.3333 0.6667 0.8035 x1
Br 0.0000 0.0000 0.4322 x1

---

No. 3
This entry pairs a crystal structure of PrNd3As2Br2 with its calculated powder diffraction line list. Radiation: copper Kα. Structure: the PBE geometry in OQMD.
Peak positions follow from Bragg's law for the DFT cell and can differ from measured ones.

Largest 10 diffraction maxima, low angle first, 5 to 70 degrees two-theta:
24.4°, d = 3.648 Å, intensity 11
25.1°, d = 3.543 Å, intensity 12
27.2°, d = 3.274 Å, intensity 11
30.4°, d = 2.936 Å, intensity 100
34.5°, d = 2.602 Å, intensity 21
42.9°, d = 2.106 Å, intensity 43
44.2°, d = 2.048 Å, intensity 18
49.7°, d = 1.833 Å, intensity 12
53.5°, d = 1.712 Å, intensity 20
67.2°, d = 1.392 Å, intensity 11

Crystal structure
a b c (Å): 4.2128 4.2128 14.8446
angles (deg): 90.00 90.00 120.00
Space group P3m1 (No. 156)
Symmetry-distinct sites (fractional):
Pr 0.0000 0.0000 0.0000 x1
Nd 0.0000 0.0000 0.7100 x1
Nd 0.3333 0.6667 0.2119 x1
Nd 0.3333 0.6667 0.5004 x1
As 0.6667 0.3333 0.1073 x1
As 0.6667 0.3333 0.6052 x1
Br 0.0000 0.0000 0.3562 x1
Br 0.3333 0.6667 0.8535 x1